Structure and computed X-ray diffraction stick pattern of LiC2NO6 (a DFT-relaxed cell (PBE, the Materials Project); Cu Kα (weighted mean of Kα1 and Kα2)).

Crystal structure
```
data_LiC2NO6
_cell_length_a 4.5401
_cell_length_b 4.5401
_cell_length_c 14.9277
_cell_angle_alpha 90.00
_cell_angle_beta 90.00
_cell_angle_gamma 120.00
_symmetry_space_group_name_H-M 'R -3'
_symmetry_Int_Tables_number 148
_symmetry_space_group_name_Hall '-R 3'
loop_
_atom_site_label
_atom_site_fract_x
_atom_site_fract_y
_atom_site_fract_z
Li1 0.0000 0.0000 0.0000
C1 0.0000 0.0000 0.2407
N1 0.0000 0.0000 0.5000
O1 0.0118 0.2914 0.2440
```

Peak list (10 most intense, 2θ = 15–90°, in order of falling intensity)
hkl 2 -1 3, 2θ = 43.8°, I 100; hkl 1 0 4, 2θ = 33.1°, I 72; hkl 0 0 6, 2θ = 36.1°, I 52; hkl 0 0 3, 2θ = 17.8°, I 24; hkl 0 1 2, 2θ = 25.6°, I 22; hkl 2 -1 6, 2θ = 54.7°, I 15; hkl 3 0 0, 2θ = 72.1°, I 15; hkl 1 1 9, 2θ = 70.3°, I 14; hkl 0 1 8, 2θ = 54.4°, I 10; hkl 2 1 1, 2θ = 62.8°, I 8